# 1
This entry pairs a crystal structure of ErHfPd4 with its computed powder diffractogram. Radiation: Cu Kα, 1.54184 Å. Structure: DFT lattice parameters and positions (GGA-PBE).
No peak broadening, texture or thermal motion is included.

The 10 most intense peaks (2θ from 5° to 70°), sorted by position:
two_theta, d [Å], I/Imax
33.9, 2.641, 177
36.2, 2.484, 514
38.0, 2.369, 1000
38.3, 2.348, 661
41.5, 2.175, 252
42.5, 2.128, 224
43.5, 2.083, 228
44.2, 2.048, 455
47.2, 1.926, 227
66.7, 1.403, 169

Crystal structure
Lattice parameters (Å, degrees): 6.7819 4.0957 16.0673 90.00 90.00 90.00
Space group Pnma (No. 62)
Symmetry-distinct sites (fractional):
1 Er 0.1818 0.2500 0.2103 [4 per cell]
2 Hf 0.1930 0.7500 0.4740 [4 per cell]
3 Pd 0.0417 0.7500 0.9404 [4 per cell]
4 Pd 0.0621 0.2500 0.3775 [4 per cell]
5 Pd 0.1297 0.2500 0.8187 [4 per cell]
6 Pd 0.2201 0.2500 0.5908 [4 per cell]

=====

# 2
This entry pairs a crystal structure of ErHf2Pd7 with its computed powder diffractogram. Radiation: Cu Kα, 1.54184 Å. Structure: DFT lattice parameters and positions (GGA-PBE).
No peak broadening, texture or thermal motion is included.

The 10 most intense peaks (2θ from 5° to 70°), sorted by position:
two_theta, d [Å], I/Imax
24.9, 3.574, 658
39.1, 2.305, 1000
39.4, 2.288, 964
41.4, 2.181, 176
45.1, 2.011, 655
46.7, 1.947, 301
51.9, 1.760, 92
65.2, 1.430, 109
66.1, 1.414, 99
66.9, 1.399, 404

Crystal structure
Lattice parameters (Å, degrees): 5.7217 7.7873 16.9699 90.00 90.00 90.00
Space group Fmmm (No. 69)
Symmetry-distinct sites (fractional):
1 Er 0.0000 0.0000 0.0000 [4 per cell]
2 Hf 0.0000 0.0000 0.3308 [8 per cell]
3 Pd 0.0000 0.0000 0.5000 [4 per cell]
4 Pd 0.2500 0.2500 0.0884 [16 per cell]
5 Pd 0.2500 0.2500 0.2500 [8 per cell]

=====

# 3
This entry pairs a crystal structure of Er2HfSi3Pt4 with its computed powder diffractogram. Radiation: Cu Kα, 1.54184 Å. Structure: DFT lattice parameters and positions (GGA-PBE).
No peak broadening, texture or thermal motion is included.

The 10 most intense peaks (2θ from 5° to 70°), sorted by position:
two_theta, d [Å], I/Imax
27.2, 3.275, 321
33.0, 2.717, 313
35.1, 2.559, 1000
39.8, 2.267, 124
44.2, 2.051, 456
45.7, 1.984, 200
47.3, 1.922, 204
56.2, 1.637, 170
64.2, 1.450, 151
66.7, 1.402, 145

Crystal structure
Lattice parameters (Å, degrees): 4.1020 4.1020 10.8774 90.00 90.00 90.00
Space group P-4m2 (No. 115)
Symmetry-distinct sites (fractional):
1 Er 0.0000 0.5000 0.2272 [2 per cell]
2 Hf 0.0000 0.0000 0.5000 [1 per cell]
3 Si 0.0000 0.5000 0.8689 [2 per cell]
4 Si 0.5000 0.5000 0.5000 [1 per cell]
5 Pt 0.0000 0.0000 0.0000 [1 per cell]
6 Pt 0.0000 0.5000 0.6514 [2 per cell]
7 Pt 0.5000 0.5000 0.0000 [1 per cell]